# 1
RbSb: theoretical X-ray diffraction stick pattern (Cu Kα, 1.54184 Å), based on the PBE geometry in the Materials Project.
Peak positions follow from Bragg's law for the DFT cell and can differ from measured ones.

Peak list (10 most intense, 2θ = 15–90°, by intensity)
- 28.22 deg, d 3.163, intensity 1000
- 25.90 deg, d 3.441, intensity 882
- 25.37 deg, d 3.510, intensity 725
- 27.13 deg, d 3.287, intensity 704
- 29.78 deg, d 3.000, intensity 543
- 32.20 deg, d 2.780, intensity 488
- 26.84 deg, d 3.322, intensity 475
- 35.71 deg, d 2.514, intensity 453
- 28.50 deg, d 3.132, intensity 409
- 38.00 deg, d 2.368, intensity 371

Structure:
```
RbSb
1.0
7.5417 0.0000 0.0000
0.0000 7.3204 0.0000
-5.7513 0.0000 12.8235
Rb Sb
8 8
direct
0.2137 0.0986 0.3312 Rb
0.2137 0.4014 0.8312 Rb
0.2462 0.6684 0.5327 Rb
0.2462 0.8316 0.0327 Rb
0.7538 0.1684 0.9673 Rb
0.7538 0.3316 0.4673 Rb
0.7863 0.5986 0.1688 Rb
0.7863 0.9014 0.6688 Rb
0.3293 0.5960 0.2839 Sb
0.3293 0.9040 0.7839 Sb
0.3339 0.1690 0.6299 Sb
0.3339 0.3310 0.1299 Sb
0.6661 0.6690 0.8701 Sb
0.6661 0.8310 0.3701 Sb
0.6707 0.0960 0.2161 Sb
0.6707 0.4040 0.7161 Sb
```

# 2
RbSb: theoretical X-ray diffraction stick pattern (Cu Kα, 1.54184 Å), based on the PBE geometry in the Materials Project.
Peak positions follow from Bragg's law for the DFT cell and can differ from measured ones.

Peak list (10 most intense, 2θ = 15–90°, by intensity)
- 26.62 deg, d 3.349, intensity 1000
- 27.84 deg, d 3.205, intensity 515
- 24.67 deg, d 3.608, intensity 428
- 29.90 deg, d 2.988, intensity 382
- 34.08 deg, d 2.631, intensity 360
- 30.03 deg, d 2.976, intensity 350
- 34.81 deg, d 2.577, intensity 339
- 31.86 deg, d 2.809, intensity 319
- 18.19 deg, d 4.877, intensity 317
- 26.97 deg, d 3.306, intensity 303

Structure:
```
RbSb
1.0
7.3631 0.0000 0.0000
0.0000 7.5097 0.0000
0.0000 0.0000 13.0372
Rb Sb
8 8
direct
0.0964 0.1004 0.4191 Rb
0.1685 0.3514 0.7912 Rb
0.3315 0.6486 0.2912 Rb
0.4036 0.8996 0.9191 Rb
0.5964 0.3996 0.5809 Rb
0.6685 0.1486 0.2088 Rb
0.8315 0.8514 0.7088 Rb
0.9036 0.6004 0.0809 Rb
0.0914 0.5555 0.5352 Sb
0.1699 0.1736 0.1181 Sb
0.3301 0.8264 0.6181 Sb
0.4086 0.4445 0.0352 Sb
0.5914 0.9445 0.4648 Sb
0.6699 0.3264 0.8819 Sb
0.8301 0.6736 0.3819 Sb
0.9086 0.0555 0.9648 Sb
```